# 1
For WO3, a GGA+U-relaxed structure gives the theoretical powder diffraction line list in this record (Cu Kα (weighted mean of Kα1 and Kα2)).
Peak positions follow from Bragg's law for the DFT cell and can differ from measured ones.

Peak list (8 most intense, 15° ≤ 2θ ≤ 90°, low angle first)
| h k l | d/Å | I (rel.) |
| --- | --- | --- |
| 1 0 1 | 5.516 | 100 |
| 0 1 1 | 5.059 | 59 |
| 0 1 2 | 3.347 | 28 |
| 0 2 1 | 3.170 | 94 |
| 0 2 -2 | 3.080 | 52 |
| 2 0 -2 | 2.763 | 31 |
| 2 0 2 | 2.756 | 38 |
| 2 -2 0 | 2.622 | 29 |

Cell and atoms:
```
data_WO3
_symmetry_space_group_name_H-M 'P 1'
_symmetry_Int_Tables_number 1
_symmetry_space_group_name_Hall 'P 1'
_cell_length_a 7.4017
_cell_length_b 7.5795
_cell_length_c 8.4350
_cell_angle_alpha 101.28
_cell_angle_beta 90.10
_cell_angle_gamma 90.05
loop_
_atom_site_label
_atom_site_fract_x
_atom_site_fract_y
_atom_site_fract_z
_atom_site_occupancy
W1 0.0000 0.0000 0.0000 1
W2 0.9996 0.4980 0.0200 1
W3 0.2489 0.6592 0.7019 1
W4 0.2511 0.2913 0.3229 1
W5 0.4989 0.9245 0.4448 1
W6 0.7500 0.2899 0.3225 1
W7 0.7512 0.6585 0.7005 1
O1 0.0001 0.2150 0.9285 1
O2 0.0000 0.2895 0.3881 1
O3 0.0001 0.6496 0.6296 1
O4 0.9997 0.7428 0.0846 1
O5 0.1795 0.4435 0.1723 1
O6 0.1819 0.5105 0.8540 1
O7 0.1830 0.8699 0.8570 1
O8 0.1842 0.0841 0.1534 1
O9 0.2923 0.4692 0.5128 1
O10 0.3211 0.8218 0.5639 1
O11 0.3230 0.1112 0.4415 1
O12 0.4962 0.7934 0.2523 1
O13 0.5000 0.3021 0.2539 1
O14 0.5002 0.6510 0.7654 1
O15 0.6773 0.1090 0.4396 1
O16 0.6779 0.8194 0.5616 1
O17 0.7078 0.4672 0.5128 1
O18 0.8152 0.0835 0.1523 1
O19 0.8181 0.5100 0.8532 1
O20 0.8177 0.8697 0.8555 1
O21 0.8202 0.4428 0.1719 1
```

---

# 2
For WO3, a GGA+U-relaxed structure gives the theoretical powder diffraction line list in this record (Cu Kα (weighted mean of Kα1 and Kα2)).
Peak positions follow from Bragg's law for the DFT cell and can differ from measured ones.

Peak list (8 most intense, 15° ≤ 2θ ≤ 90°, low angle first)
| h k l | d/Å | I (rel.) |
| --- | --- | --- |
| 0 2 0 | 3.874 | 100 |
| 0 0 2 | 3.850 | 97 |
| 2 0 0 | 3.801 | 98 |
| 0 2 2 | 2.731 | 51 |
| 2 2 0 | 2.713 | 55 |
| 2 0 2 | 2.705 | 54 |
| 2 2 2 | 2.218 | 40 |
| 4 0 2 | 1.705 | 39 |

Cell and atoms:
```
data_WO3
_symmetry_space_group_name_H-M 'P b c n'
_symmetry_Int_Tables_number 60
_symmetry_space_group_name_Hall '-P 2n 2ab'
_cell_length_a 7.6021
_cell_length_b 7.7471
_cell_length_c 7.7001
_cell_angle_alpha 90.00
_cell_angle_beta 90.00
_cell_angle_gamma 90.00
loop_
_atom_site_label
_atom_site_fract_x
_atom_site_fract_y
_atom_site_fract_z
_atom_site_occupancy
W1 0.2490 0.2337 0.0177 1
O1 0.9996 0.2254 0.5289 1
O2 0.2207 0.2471 0.2576 1
O3 0.2248 0.4962 0.0097 1
```

---

# 3
For WO3, a GGA+U-relaxed structure gives the theoretical powder diffraction line list in this record (Cu Kα (weighted mean of Kα1 and Kα2)).
Peak positions follow from Bragg's law for the DFT cell and can differ from measured ones.

Peak list (8 most intense, 15° ≤ 2θ ≤ 90°, low angle first)
| h k l | d/Å | I (rel.) |
| --- | --- | --- |
| 0 0 1 | 3.863 | 60 |
| 1 1 0 | 3.754 | 20 |
| 1 0 1 | 3.321 | 22 |
| 2 0 0 | 3.251 | 100 |
| 2 0 1 | 2.487 | 66 |
| 2 2 0 | 1.877 | 25 |
| 2 2 1 | 1.688 | 27 |
| 2 0 2 | 1.660 | 29 |

Cell and atoms:
```
data_WO3
_symmetry_space_group_name_H-M 'P 6/m m m'
_symmetry_Int_Tables_number 191
_symmetry_space_group_name_Hall '-P 6 2'
_cell_length_a 7.5082
_cell_length_b 7.5082
_cell_length_c 3.8626
_cell_angle_alpha 90.00
_cell_angle_beta 90.00
_cell_angle_gamma 120.00
loop_
_atom_site_label
_atom_site_fract_x
_atom_site_fract_y
_atom_site_fract_z
_atom_site_occupancy
W1 0.0000 0.5000 0.0000 1
O1 0.0000 0.5000 0.5000 1
O2 0.2139 0.4279 0.0000 1
```

---

# 4
For WO3, a GGA+U-relaxed structure gives the theoretical powder diffraction line list in this record (Cu Kα (weighted mean of Kα1 and Kα2)).
Peak positions follow from Bragg's law for the DFT cell and can differ from measured ones.

Peak list (8 most intense, 15° ≤ 2θ ≤ 90°, low angle first)
| h k l | d/Å | I (rel.) |
| --- | --- | --- |
| 0 2 0 | 3.875 | 100 |
| 2 0 0 | 3.839 | 50 |
| 0 2 2 | 2.740 | 26 |
| 2 0 2 | 2.727 | 55 |
| 2 2 2 | 2.230 | 20 |
| 2 4 0 | 1.733 | 18 |
| 4 0 2 | 1.720 | 20 |
| 4 2 2 | 1.572 | 11 |

Cell and atoms:
```
data_WO3
_symmetry_space_group_name_H-M 'P b c n'
_symmetry_Int_Tables_number 60
_symmetry_space_group_name_Hall '-P 2n 2ab'
_cell_length_a 7.6776
_cell_length_b 7.7642
_cell_length_c 7.7337
_cell_angle_alpha 90.00
_cell_angle_beta 90.00
_cell_angle_gamma 90.00
loop_
_atom_site_label
_atom_site_fract_x
_atom_site_fract_y
_atom_site_fract_z
_atom_site_occupancy
W1 0.2487 0.2350 0.0155 1
O1 0.0001 0.2420 0.5152 1
O2 0.2346 0.2488 0.2555 1
O3 0.2419 0.4966 0.0055 1
```

---

# 5
For WO3, a GGA+U-relaxed structure gives the theoretical powder diffraction line list in this record (Cu Kα (weighted mean of Kα1 and Kα2)).
Peak positions follow from Bragg's law for the DFT cell and can differ from measured ones.

Peak list (8 most intense, 15° ≤ 2θ ≤ 90°, low angle first)
| h k l | d/Å | I (rel.) |
| --- | --- | --- |
| 2 0 0 | 3.867 | 100 |
| 0 2 0 | 3.840 | 50 |
| 0 2 2 | 2.729 | 41 |
| 2 2 0 | 2.722 | 28 |
| 2 2 2 | 2.228 | 20 |
| 4 0 -2 | 1.730 | 18 |
| 4 2 0 | 1.725 | 14 |
| 2 4 0 | 1.720 | 20 |

Cell and atoms:
```
data_WO3
_symmetry_space_group_name_H-M 'P 1 21/c 1'
_symmetry_Int_Tables_number 14
_symmetry_space_group_name_Hall '-P 2ybc'
_cell_length_a 7.7189
_cell_length_b 7.6802
_cell_length_c 7.7510
_cell_angle_alpha 90.00
_cell_angle_beta 90.18
_cell_angle_gamma 90.00
loop_
_atom_site_label
_atom_site_fract_x
_atom_site_fract_y
_atom_site_fract_z
_atom_site_occupancy
W1 0.0109 0.2449 0.2348 1
W2 0.4886 0.7469 0.2347 1
O1 0.0011 0.7326 0.0032 1
O2 0.0126 0.0011 0.7676 1
O3 0.2464 0.7372 0.7456 1
O4 0.2535 0.2370 0.2454 1
O5 0.4869 0.0010 0.7337 1
O6 0.4989 0.2337 0.0034 1
```

---

# 6
For WO2, a GGA+U-relaxed structure gives the theoretical powder diffraction line list in this record (Cu Kα (weighted mean of Kα1 and Kα2)).
Peak positions follow from Bragg's law for the DFT cell and can differ from measured ones.

Peak list (8 most intense, 15° ≤ 2θ ≤ 90°, low angle first)
| h k l | d/Å | I (rel.) |
| --- | --- | --- |
| 0 0 2 | 5.293 | 98 |
| 0 2 1 | 4.565 | 86 |
| 1 1 0 | 3.082 | 61 |
| 0 2 3 | 2.894 | 100 |
| 0 4 0 | 2.530 | 30 |
| 1 3 0 | 2.335 | 48 |
| 1 1 3 | 2.321 | 49 |
| 1 5 3 | 1.543 | 32 |

Cell and atoms:
```
data_WO2
_symmetry_space_group_name_H-M 'C m c m'
_symmetry_Int_Tables_number 63
_symmetry_space_group_name_Hall '-C 2c 2'
_cell_length_a 3.2359
_cell_length_b 10.1189
_cell_length_c 10.5856
_cell_angle_alpha 90.00
_cell_angle_beta 90.00
_cell_angle_gamma 90.00
loop_
_atom_site_label
_atom_site_fract_x
_atom_site_fract_y
_atom_site_fract_z
_atom_site_occupancy
W1 0.0000 0.1330 0.0751 1
O1 0.0000 0.0830 0.2500 1
O2 0.0000 0.2413 0.5963 1
O3 0.0000 0.5000 0.0000 1
```

---

# 7
For WO3, a GGA+U-relaxed structure gives the theoretical powder diffraction line list in this record (Cu Kα (weighted mean of Kα1 and Kα2)).
Peak positions follow from Bragg's law for the DFT cell and can differ from measured ones.

Peak list (8 most intense, 15° ≤ 2θ ≤ 90°, low angle first)
| h k l | d/Å | I (rel.) |
| --- | --- | --- |
| 1 1 0 | 3.885 | 100 |
| 0 0 2 | 3.841 | 51 |
| 2 0 0 | 2.747 | 26 |
| 1 1 2 | 2.731 | 54 |
| 2 0 2 | 2.234 | 19 |
| 2 2 2 | 1.733 | 18 |
| 1 1 4 | 1.722 | 20 |
| 3 1 2 | 1.583 | 19 |

Cell and atoms:
```
data_WO3
_symmetry_space_group_name_H-M 'C m c m'
_symmetry_Int_Tables_number 63
_symmetry_space_group_name_Hall '-C 2c 2'
_cell_length_a 5.4936
_cell_length_b 5.4953
_cell_length_c 7.6817
_cell_angle_alpha 90.00
_cell_angle_beta 90.00
_cell_angle_gamma 90.00
loop_
_atom_site_label
_atom_site_fract_x
_atom_site_fract_y
_atom_site_fract_z
_atom_site_occupancy
W1 0.0000 0.0338 0.2500 1
O1 0.0000 0.0000 0.0000 1
O2 0.2483 0.2361 0.7500 1
```